Starting from a DFT-relaxed cell (GGA-PBE, the Materials Project), the powder XRD pattern of ThMgHg2 was computed for Cu Ka.

Peak list (8 most intense, 2θ = 10–90°, by intensity)
2θ = 34.4°, I 100; 2θ = 61.6°, I 38; 2θ = 20.9°, I 21; 2θ = 49.5°, I 18; 2θ = 82.8°, I 17; 2θ = 72.5°, I 12; 2θ = 40.6°, I 12; 2θ = 24.1°, I 7

Cell and atoms:
```
ThMgHg2
1.0
0.0000 3.6859 3.6859
3.6859 0.0000 3.6859
3.6859 3.6859 0.0000
Th Mg Hg
1 1 2
Cartesian
0.0000 0.0000 0.0000
3.6859 3.6859 3.6859
1.8429 1.8429 1.8429
5.5288 5.5288 5.5288
```